Entry 1:
Structure and computed XRD peak list of DyHo4Zn5 (a DFT-relaxed cell (GGA-PBE, Alexandria); Cu Kα X-rays).
Kinematic intensities with the Lorentz-polarization factor, no thermal factor.

Largest 6 diffraction maxima, by intensity, 10 to 90 degrees two-theta:
two_theta  I_rel
35.7  100
64.1  36
25.0  19
51.4  18
86.6  16
75.6  11

Crystal structure
```
data_DyHo4Zn5
_chemical_formula_sum 'Dy1 Ho4 Zn5'
_cell_length_a 3.5571
_cell_length_b 3.5571
_cell_length_c 17.7725
_cell_angle_alpha 90.00
_cell_angle_beta 90.00
_cell_angle_gamma 90.00
_symmetry_space_group_name_H-M 'P 1'
_symmetry_Int_Tables_number 1
_symmetry_space_group_name_Hall 'P 1'
loop_
_atom_site_label
_atom_site_type_symbol
_atom_site_fract_x
_atom_site_fract_y
_atom_site_fract_z
Dy1 Dy 0.0000 0.0000 0.0000
Ho1 Ho 0.0000 0.0000 0.2006
Ho2 Ho 0.0000 0.0000 0.4003
Ho3 Ho 0.0000 0.0000 0.5997
Ho4 Ho 0.0000 0.0000 0.7994
Zn1 Zn 0.5000 0.5000 0.1010
Zn2 Zn 0.5000 0.5000 0.3006
Zn3 Zn 0.5000 0.5000 0.5000
Zn4 Zn 0.5000 0.5000 0.6994
Zn5 Zn 0.5000 0.5000 0.8990
```



Entry 2:
Structure and computed XRD peak list of Ni7Pt5 (a DFT-relaxed cell (GGA-PBE, Alexandria); Cu Kα X-rays).
Kinematic intensities with the Lorentz-polarization factor, no thermal factor.

Largest 6 diffraction maxima, by intensity, 10 to 90 degrees two-theta:
two_theta  I_rel
41.5  100
48.3  63
42.3  51
41.8  47
49.2  29
16.5  22

Crystal structure
```
data_Ni7Pt5
_chemical_formula_sum 'Ni7 Pt5'
_cell_length_a 7.4066
_cell_length_b 2.6912
_cell_length_c 7.9187
_cell_angle_alpha 90.00
_cell_angle_beta 90.57
_cell_angle_gamma 90.00
_symmetry_space_group_name_H-M 'P 1'
_symmetry_Int_Tables_number 1
_symmetry_space_group_name_Hall 'P 1'
loop_
_atom_site_label
_atom_site_type_symbol
_atom_site_fract_x
_atom_site_fract_y
_atom_site_fract_z
Ni1 Ni 0.0000 0.0000 0.0000
Ni2 Ni 0.0027 0.0000 0.6570
Ni3 Ni 0.2602 0.5000 0.4980
Ni4 Ni 0.5031 0.0000 0.6531
Ni5 Ni 0.5098 0.0000 0.3409
Ni6 Ni 0.7413 0.5000 0.4967
Ni7 Ni 0.7523 0.5000 0.1710
Pt1 Pt 0.2459 0.5000 0.8182
Pt2 Pt 0.2536 0.5000 0.1736
Pt3 Pt 0.5133 0.0000 0.0025
Pt4 Pt 0.7647 0.5000 0.8211
Pt5 Pt 0.9896 0.0000 0.3394
```



Entry 3:
Structure and computed XRD peak list of MnRe (a DFT-relaxed cell (GGA-PBE, Alexandria); Cu Kα X-rays).
Kinematic intensities with the Lorentz-polarization factor, no thermal factor.

Largest 6 diffraction maxima, by intensity, 10 to 90 degrees two-theta:
two_theta  I_rel
42.1  100
21.6  38
43.3  23
35.6  22
44.1  22
78.5  16

Crystal structure
```
data_MnRe
_chemical_formula_sum 'Mn2 Re2'
_cell_length_a 3.1571
_cell_length_b 4.1834
_cell_length_c 4.1079
_cell_angle_alpha 90.00
_cell_angle_beta 90.00
_cell_angle_gamma 90.00
_symmetry_space_group_name_H-M 'P 1'
_symmetry_Int_Tables_number 1
_symmetry_space_group_name_Hall 'P 1'
loop_
_atom_site_label
_atom_site_type_symbol
_atom_site_fract_x
_atom_site_fract_y
_atom_site_fract_z
Mn1 Mn 0.0000 0.0000 0.0000
Mn2 Mn 0.5000 0.5000 0.0000
Re1 Re 0.0000 0.5000 0.5000
Re2 Re 0.5000 0.0000 0.5000
```



Entry 4:
Structure and computed XRD peak list of CaH2SeF (a DFT-relaxed cell (GGA-PBE, Alexandria); Cu Kα X-rays).
Kinematic intensities with the Lorentz-polarization factor, no thermal factor.

Largest 6 diffraction maxima, by intensity, 10 to 90 degrees two-theta:
two_theta  I_rel
11.0  100
36.1  27
36.2  27
44.3  18
30.3  16
30.4  16

Crystal structure
```
data_CaH2SeF
_chemical_formula_sum 'Ca1 H2 Se1 F1'
_cell_length_a 3.1561
_cell_length_b 8.0498
_cell_length_c 3.1723
_cell_angle_alpha 90.00
_cell_angle_beta 90.56
_cell_angle_gamma 90.00
_symmetry_space_group_name_H-M 'P 1'
_symmetry_Int_Tables_number 1
_symmetry_space_group_name_Hall 'P 1'
loop_
_atom_site_label
_atom_site_type_symbol
_atom_site_fract_x
_atom_site_fract_y
_atom_site_fract_z
Ca1 Ca 0.0000 0.0000 0.0000
H1 H 0.0807 0.6365 0.0881
H2 H 0.9193 0.6365 0.9119
Se1 Se 0.5000 0.2662 0.5000
F1 F 0.5000 0.8869 0.5000
```



Entry 5:
Structure and computed XRD peak list of La2Pm5SmSc (a DFT-relaxed cell (GGA-PBE, Alexandria); Cu Kα X-rays).
Kinematic intensities with the Lorentz-polarization factor, no thermal factor.

Largest 6 diffraction maxima, by intensity, 10 to 90 degrees two-theta:
two_theta  I_rel
31.4  100
26.7  39
32.6  35
59.8  23
57.4  19
32.4  16

Crystal structure
```
data_La2Pm5SmSc
_chemical_formula_sum 'La4 Pm10 Sm2 Sc2'
_cell_length_a 11.3742
_cell_length_b 11.3742
_cell_length_c 10.2162
_cell_angle_alpha 90.00
_cell_angle_beta 90.00
_cell_angle_gamma 152.08
_symmetry_space_group_name_H-M 'P 1'
_symmetry_Int_Tables_number 1
_symmetry_space_group_name_Hall 'P 1'
loop_
_atom_site_label
_atom_site_type_symbol
_atom_site_fract_x
_atom_site_fract_y
_atom_site_fract_z
La1 La 0.1174 0.8826 0.5077
La2 La 0.1174 0.8826 0.9923
La3 La 0.8826 0.1174 0.0077
La4 La 0.8826 0.1174 0.4923
Pm1 Pm 0.0000 0.0000 0.2500
Pm2 Pm 0.0000 0.0000 0.7500
Pm3 Pm 0.2766 0.7234 0.5624
Pm4 Pm 0.2766 0.7234 0.9376
Pm5 Pm 0.3732 0.6268 0.2500
Pm6 Pm 0.5000 0.5000 0.0000
Pm7 Pm 0.5000 0.5000 0.5000
Pm8 Pm 0.6268 0.3732 0.7500
Pm9 Pm 0.7234 0.2766 0.0624
Pm10 Pm 0.7234 0.2766 0.4376
Sm1 Sm 0.3973 0.6027 0.7500
Sm2 Sm 0.6027 0.3973 0.2500
Sc1 Sc 0.2147 0.7853 0.2500
Sc2 Sc 0.7853 0.2147 0.7500
```